# La2TbTe2As2
Simulated powder diffraction line list, copper Kα. Input: a cell relaxed with PBE.
Intensities are scaled so that the largest is 100.

```
La2TbTe2As2
1.0
5.334 0.000 0.000
0.000 5.334 0.000
0.000 0.000 16.126
La Tb Te As
4 2 4 4
direct
0.000 0.000 0.117
0.000 0.000 0.883
0.500 0.500 0.383
0.500 0.500 0.617
0.000 0.000 0.500
0.500 0.500 0.000
0.000 0.000 0.311
0.000 0.000 0.689
0.500 0.500 0.189
0.500 0.500 0.811
0.000 0.500 0.000
0.000 0.500 0.500
0.500 0.000 0.000
0.500 0.000 0.500
```

Main lines, in order of rising 2θ (2θ from 10° to 90°):
hkl 0 0 2, 8.063 Å, intensity 19
hkl 1 1 0, 3.773 Å, intensity 71
hkl 1 0 5, 2.759 Å, intensity 100
hkl 2 0 0, 2.667 Å, intensity 69
hkl 2 1 5, 1.918 Å, intensity 59
hkl 2 2 0, 1.886 Å, intensity 25
hkl 3 1 0, 1.687 Å, intensity 14
hkl 3 0 5, 1.557 Å, intensity 20
hkl 3 2 5, 1.345 Å, intensity 18
hkl 4 1 5, 1.201 Å, intensity 14